1.
# Pr2CdGaPt6
Simulated powder diffraction line list, Cu Kα, 1.54184 Å. Input: a GGA-PBE-relaxed structure.

Top 10 peaks for 2θ from 10° to 90°, in order of falling intensity:
2θ = 39.31°, intensity 100, hkl 4 0 0
2θ = 37.24°, intensity 82, hkl 2 2 0
2θ = 21.11°, intensity 56, hkl 0 0 2
2θ = 10.51°, intensity 51, hkl 0 0 1
2θ = 38.23°, intensity 41, hkl 3 1 1
2θ = 19.36°, intensity 33, hkl 2 0 0
2θ = 40.14°, intensity 31, hkl 1 1 3
2θ = 65.72°, intensity 23, hkl 6 2 -2
2θ = 46.86°, intensity 21, hkl 2 2 2
2θ = 40.80°, intensity 18, hkl 4 0 -3

Atomic structure:
Lattice parameters (Å, degrees): 9.844 5.679 9.041 90.00 111.42 90.00
Space group C2/m (No. 12)
Asymmetric unit:
Pr: 0.202 0.000 0.106 x4
Cd: 0.000 0.000 0.500 x2
Ga: 0.000 0.500 0.000 x2
Pt: 0.010 0.245 0.775 x8
Pt: 0.245 0.500 0.225 x4



2.
# CdGaPt4
Simulated powder diffraction line list, Cu Kα, 1.54184 Å. Input: a GGA-PBE-relaxed structure.

Top 10 peaks for 2θ from 10° to 90°, in order of falling intensity:
2θ = 40.72°, intensity 100, hkl 1 1 2
2θ = 23.35°, intensity 36, hkl 0 0 2
2θ = 47.19°, intensity 36, hkl 2 0 0
2θ = 32.88°, intensity 35, hkl 1 1 0
2θ = 83.29°, intensity 26, hkl 3 1 2
2θ = 53.30°, intensity 16, hkl 2 0 2
2θ = 69.40°, intensity 16, hkl 2 0 4
2θ = 25.92°, intensity 14, hkl 1 0 1
2θ = 47.75°, intensity 12, hkl 0 0 4
2θ = 68.96°, intensity 12, hkl 2 2 0

Atomic structure:
Lattice parameters (Å, degrees): 3.852 3.852 7.619 90.00 90.00 90.00
Space group P4/mmm (No. 123)
Asymmetric unit:
Cd: 0.000 0.000 0.000 x1
Ga: 0.500 0.500 0.500 x1
Pt: 0.000 0.500 0.275 x4



3.
# CdGaPt
Simulated powder diffraction line list, Cu Kα, 1.54184 Å. Input: a GGA-PBE-relaxed structure.

Top 10 peaks for 2θ from 10° to 90°, in order of falling intensity:
2θ = 39.07°, intensity 100, hkl 1 1 2
2θ = 40.46°, intensity 84, hkl 3 1 -1
2θ = 27.04°, intensity 63, hkl 1 1 0
2θ = 39.97°, intensity 38, hkl 2 0 -3
2θ = 42.37°, intensity 37, hkl 4 0 0
2θ = 44.49°, intensity 34, hkl 3 1 -2
2θ = 21.99°, intensity 32, hkl 2 0 -1
2θ = 51.10°, intensity 30, hkl 0 2 0
2θ = 36.53°, intensity 25, hkl 2 0 2
2θ = 30.92°, intensity 23, hkl 1 1 1

Atomic structure:
Lattice parameters (Å, degrees): 8.731 3.575 7.151 90.00 102.23 90.00
Space group C2/m (No. 12)
Asymmetric unit:
Cd: 0.159 0.000 0.099 x4
Ga: 0.123 0.500 0.408 x4
Pt: 0.105 0.000 0.686 x4



4.
# Tb2CdGa3Pt4
Simulated powder diffraction line list, Cu Kα, 1.54184 Å. Input: a GGA-PBE-relaxed structure.

Top 10 peaks for 2θ from 10° to 90°, in order of falling intensity:
2θ = 34.77°, intensity 100, hkl 1 1 2
2θ = 44.61°, intensity 72, hkl 2 0 0
2θ = 64.91°, intensity 33, hkl 2 2 0
2θ = 31.79°, intensity 23, hkl 1 0 3
2θ = 75.74°, intensity 21, hkl 3 1 2
2θ = 44.16°, intensity 19, hkl 1 1 4
2θ = 22.79°, intensity 12, hkl 0 0 3
2θ = 55.78°, intensity 9, hkl 2 1 3
2θ = 32.06°, intensity 9, hkl 1 1 1
2θ = 59.85°, intensity 9, hkl 1 0 7

Atomic structure:
Lattice parameters (Å, degrees): 4.066 4.066 11.704 90.00 90.00 90.00
Space group P-4m2 (No. 115)
Asymmetric unit:
Tb: 0.000 0.500 0.246 x2
Cd: 0.000 0.000 0.500 x1
Ga: 0.000 0.500 0.871 x2
Ga: 0.500 0.500 0.500 x1
Pt: 0.000 0.000 0.000 x1
Pt: 0.000 0.500 0.661 x2
Pt: 0.500 0.500 0.000 x1